For UMnO3F6, a cell relaxed with GGA+U gives the computed XRD peak list in this record (Cu Kα (λ = 1.5418 Å)).
Kinematic intensities with the Lorentz-polarization factor, no thermal factor.

Cell and atoms:
abc: 6.629 6.629 8.687
angles: 102.44 102.44 67.23
Positions (direct):
U  0.123  0.877  0.750
U  0.877  0.123  0.250
Mn  0.000  0.500  0.000
Mn  0.500  0.000  0.500
O  0.278  0.393  0.012
O  0.370  0.630  0.750
O  0.393  0.278  0.512
O  0.607  0.722  0.488
O  0.630  0.370  0.250
O  0.722  0.607  0.988
F  0.018  0.340  0.166
F  0.018  0.745  0.165
F  0.071  0.774  0.510
F  0.226  0.929  0.990
F  0.255  0.982  0.335
F  0.340  0.018  0.666
F  0.660  0.982  0.334
F  0.745  0.018  0.665
F  0.774  0.071  0.010
F  0.929  0.226  0.490
F  0.982  0.255  0.835
F  0.982  0.660  0.834

The 12 most intense peaks (15 to 90 degrees two-theta), by angle:
16.62 deg, I = 32
19.31 deg, I = 100
23.34 deg, I = 48
23.98 deg, I = 23
26.51 deg, I = 34
27.42 deg, I = 41
27.60 deg, I = 18
29.91 deg, I = 24
30.32 deg, I = 19
40.96 deg, I = 17
47.41 deg, I = 16
47.93 deg, I = 23

For Nd4Ni3O8, a cell relaxed with GGA+U gives the computed XRD peak list in this record (Cu Kα (λ = 1.5418 Å)).
Kinematic intensities with the Lorentz-polarization factor, no thermal factor.

Cell and atoms:
abc: 13.016 13.016 13.016
angles: 162.49 162.49 24.86
Positions (direct):
Nd  0.066  0.066  0.000
Nd  0.202  0.202  0.000
Nd  0.798  0.798  0.000
Nd  0.934  0.934  0.000
Ni  0.375  0.375  0.000
Ni  0.500  0.500  0.000
Ni  0.625  0.625  0.000
O  0.000  0.500  0.500
O  0.125  0.625  0.500
O  0.250  0.750  0.500
O  0.375  0.875  0.500
O  0.500  0.000  0.500
O  0.625  0.125  0.500
O  0.750  0.250  0.500
O  0.875  0.375  0.500

The 12 most intense peaks (15 to 90 degrees two-theta), by angle:
22.71 deg, I = 21
28.56 deg, I = 10
31.94 deg, I = 49
33.47 deg, I = 100
39.17 deg, I = 11
43.04 deg, I = 20
45.79 deg, I = 35
57.90 deg, I = 41
60.78 deg, I = 8
66.77 deg, I = 11
75.93 deg, I = 9
76.78 deg, I = 9